# 1
Diffraction record for Cs2ErGaS4. The powder XRD pattern is computed, not measured: it uses a structure optimized by DFT (PBE) and Cu Kα, 1.54184 Å.
Lines closer than 0.1° are merged.

Top 10 peaks for 2θ from 15° to 90°, low angle first:
2theta, d (Å), I/Imax
15.98, 5.546, 31
23.49, 3.787, 31
23.88, 3.726, 100
24.29, 3.665, 37
25.44, 3.501, 30
28.98, 3.081, 53
31.52, 2.839, 48
35.79, 2.509, 44
43.73, 2.070, 38
47.51, 1.914, 28

```
Cs2ErGaS4
1.0
0.000 7.330 12.982
3.079 0.000 12.982
3.079 7.330 0.000
Cs Er Ga S
4 2 2 8
Direct
0.053 0.053 0.697
0.303 0.303 0.947
0.697 0.697 0.053
0.947 0.947 0.303
0.125 0.125 0.125
0.875 0.875 0.875
0.375 0.375 0.375
0.625 0.625 0.625
0.010 0.640 0.553
0.297 0.553 0.640
0.360 0.990 0.703
0.447 0.703 0.990
0.553 0.297 0.010
0.640 0.010 0.297
0.703 0.447 0.360
0.990 0.360 0.447
```


# 2
Diffraction record for SrCa2SnBr8. The powder XRD pattern is computed, not measured: it uses a structure optimized by DFT (PBE) and Cu Kα, 1.54184 Å.
Lines closer than 0.1° are merged.

Top 10 peaks for 2θ from 15° to 90°, low angle first:
2theta, d (Å), I/Imax
18.08, 4.907, 44
26.94, 3.309, 100
28.36, 3.147, 47
34.84, 2.575, 16
35.51, 2.528, 58
36.63, 2.454, 23
40.24, 2.241, 23
43.21, 2.094, 37
46.77, 1.942, 19
49.96, 1.825, 19

```
SrCa2SnBr8
1.0
6.786 0.000 0.000
0.000 8.964 0.000
-0.002 0.000 7.104
Sr Ca Sn Br
1 2 1 8
Direct
0.000 0.000 0.000
0.500 0.252 0.500
0.500 0.748 0.500
0.000 0.500 0.000
0.242 0.254 0.832
0.242 0.746 0.832
0.271 0.500 0.341
0.275 0.000 0.346
0.725 0.000 0.654
0.729 0.500 0.659
0.758 0.254 0.168
0.758 0.746 0.168
```


# 3
Diffraction record for BaBiSe2F. The powder XRD pattern is computed, not measured: it uses a structure optimized by DFT (PBE) and Cu Kα, 1.54184 Å.
Lines closer than 0.1° are merged.

Top 10 peaks for 2θ from 15° to 90°, low angle first:
2theta, d (Å), I/Imax
23.44, 3.795, 41
23.78, 3.741, 60
29.38, 3.040, 100
37.92, 2.373, 59
41.41, 2.180, 36
42.03, 2.150, 49
48.68, 1.871, 24
48.86, 1.864, 18
60.47, 1.531, 24
69.08, 1.360, 19

```
BaBiSe2F
1.0
4.300 0.000 0.000
0.000 4.300 0.000
0.000 0.000 15.179
Ba Bi Se F
2 2 4 2
Direct
0.250 0.250 0.105
0.750 0.750 0.895
0.250 0.250 0.625
0.750 0.750 0.375
0.250 0.250 0.401
0.250 0.250 0.800
0.750 0.750 0.200
0.750 0.750 0.599
0.250 0.750 0.000
0.750 0.250 0.000
```


Repeat the second record exactly.
Diffraction record for SrCa2SnBr8. The powder XRD pattern is computed, not measured: it uses a structure optimized by DFT (PBE) and Cu Kα, 1.54184 Å.
Lines closer than 0.1° are merged.

Top 10 peaks for 2θ from 15° to 90°, low angle first:
2theta, d (Å), I/Imax
18.08, 4.907, 44
26.94, 3.309, 100
28.36, 3.147, 47
34.84, 2.575, 16
35.51, 2.528, 58
36.63, 2.454, 23
40.24, 2.241, 23
43.21, 2.094, 37
46.77, 1.942, 19
49.96, 1.825, 19

```
SrCa2SnBr8
1.0
6.786 0.000 0.000
0.000 8.964 0.000
-0.002 0.000 7.104
Sr Ca Sn Br
1 2 1 8
Direct
0.000 0.000 0.000
0.500 0.252 0.500
0.500 0.748 0.500
0.000 0.500 0.000
0.242 0.254 0.832
0.242 0.746 0.832
0.271 0.500 0.341
0.275 0.000 0.346
0.725 0.000 0.654
0.729 0.500 0.659
0.758 0.254 0.168
0.758 0.746 0.168
```